The following is a theoretical X-ray diffraction stick pattern of ScTlPd5. It was derived from a GGA-PBE-relaxed structure, using a wavelength of 1.5418 Å.

The 10 most intense peaks (2θ = 10–90°), by angle:
Position (°2θ)	d (Å)	I (rel.)	(hkl)
22.30	3.987	24.9	1 0 0
31.71	2.822	20.7	1 0 2
39.11	2.303	100.0	1 1 2
45.40	1.998	16.3	0 0 4
45.50	1.993	32.3	2 0 0
51.19	1.785	11.1	2 1 0
66.26	1.411	31.0	2 2 0
79.61	1.204	12.2	1 1 6
79.76	1.202	24.3	3 1 2
84.03	1.152	10.7	2 2 4

Crystal structure
Lattice parameters (Å, degrees): 3.9869 3.9869 7.9909 90.00 90.00 90.00
Space group P4/mmm (No. 123)
Unique sites:
Sc (0.0000, 0.0000, 0.0000)
Tl (0.5000, 0.5000, 0.5000)
Pd (0.0000, 0.5000, 0.2502)
Pd (0.5000, 0.5000, 0.0000)